Starting from a DFT-relaxed cell (GGA+U, Alexandria), the X-ray diffraction stick pattern of NaCa3Mg3FeSi8O24 was simulated for a wavelength of 1.5418 Å.

Most intense lines, 15 to 90 degrees two-theta, in order of falling intensity:
| 2theta | I_rel | h k l |
| --- | --- | --- |
| 29.45 | 100 | 1 2 1 |
| 35.12 | 40 | 2 0 -2 |
| 35.47 | 39 | 1 2 -3 |
| 30.05 | 32 | 0 1 3 |
| 30.42 | 24 | 1 1 2 |
| 34.59 | 24 | 1 3 0 |
| 27.37 | 20 | 0 2 2 |
| 41.85 | 19 | 1 3 2 |
| 65.21 | 19 | 1 3 -6 |
| 55.74 | 18 | 3 2 -1 |

Atomic structure:
```
40
Lattice="5.3333 0.0000 0.0000 0.0000 9.0002 0.0000 -2.5082 0.0000 9.4516" Properties=species:S:1:pos:R:3 pbc="T T T"
Na 0.0000 0.0000 0.0000
Ca -1.2541 8.1046 4.7258
Ca 2.6667 3.5749 0.0000
Ca 1.4125 4.4629 4.7258
Mg -1.2541 2.6064 4.7258
Mg 0.0000 5.4598 0.0000
Mg 1.4125 0.9579 4.7258
Fe 2.6667 7.2175 0.0000
Si 0.5082 2.6053 2.0052
Si -0.7423 5.4702 6.7419
Si -0.3591 0.9538 7.4442
Si 0.9175 7.1399 2.7024
Si 1.9076 7.1399 6.7492
Si 3.1841 0.9538 2.0074
Si 3.5674 5.4702 2.7097
Si 2.3169 2.6053 7.4464
O -1.6104 1.9120 8.0338
O -0.3490 6.1615 3.2865
O 0.7371 4.0306 1.2892
O -0.4991 4.0505 6.0390
O -0.3614 0.9824 5.8219
O 0.9550 7.0340 1.0795
O 0.5129 2.5767 3.6309
O -0.7175 5.5513 8.3714
O 0.6502 8.5444 3.4168
O -0.5507 8.5052 8.1403
O 0.5074 6.4383 6.1210
O 1.8038 1.6889 1.4174
O 1.0213 1.6889 8.0342
O 2.3177 6.4383 3.3306
O 3.3757 8.5052 1.3113
O 2.1748 8.5444 6.0348
O 3.5425 5.5513 1.0802
O 2.3122 2.5767 5.8207
O 1.8701 7.0340 8.3720
O 3.1864 0.9824 3.6296
O 3.3241 4.0505 3.4126
O 2.0879 4.0306 8.1624
O 4.4355 1.9120 1.4177
O 3.1741 6.1615 6.1651
```